1.
This entry pairs a crystal structure of LiIO3 with its theoretical X-ray powder pattern. Radiation: Cu Kα X-rays. Structure: a cell relaxed with GGA-PBE.
Kinematic intensities with the Lorentz-polarization factor, no thermal factor.

The 12 most intense peaks (2θ from 5° to 70°), sorted by position:
| 2θ/deg | d/Å | I (rel.) |
| --- | --- | --- |
| 18.75 | 4.733 | 204 |
| 22.25 | 3.996 | 159 |
| 24.18 | 3.681 | 1000 |
| 25.00 | 3.561 | 414 |
| 29.25 | 3.053 | 110 |
| 31.62 | 2.830 | 132 |
| 32.14 | 2.785 | 150 |
| 33.13 | 2.704 | 127 |
| 41.66 | 2.168 | 116 |
| 45.19 | 2.006 | 118 |
| 46.45 | 1.955 | 138 |
| 46.83 | 1.940 | 199 |

Crystal structure
Cell lengths 9.465, 5.930, 5.408 Å; angles 90.00, 90.00, 90.00 degrees
Space group Pna2_1 (No. 33)
Asymmetric unit:
Li: 0.020 0.084 0.000
I: 0.183 0.576 0.047
O: 0.075 0.357 0.193
O: 0.127 0.828 0.215
O: 0.150 0.024 0.704

=====

2.
This entry pairs a crystal structure of LiIO3 with its theoretical X-ray powder pattern. Radiation: Cu Kα X-rays. Structure: a cell relaxed with GGA-PBE.
Kinematic intensities with the Lorentz-polarization factor, no thermal factor.

The 12 most intense peaks (2θ from 5° to 70°), sorted by position:
| 2θ/deg | d/Å | I (rel.) |
| --- | --- | --- |
| 15.31 | 5.787 | 302 |
| 15.58 | 5.687 | 905 |
| 26.29 | 3.389 | 1000 |
| 26.50 | 3.364 | 458 |
| 27.00 | 3.302 | 259 |
| 30.91 | 2.893 | 424 |
| 34.61 | 2.592 | 291 |
| 41.60 | 2.171 | 155 |
| 41.93 | 2.155 | 139 |
| 46.25 | 1.963 | 146 |
| 52.23 | 1.752 | 165 |
| 54.12 | 1.695 | 189 |

Crystal structure
Cell lengths 6.722, 11.374, 4.182 Å; angles 90.00, 90.00, 90.00 degrees
Space group Cmcm (No. 63)
Asymmetric unit:
Li: 0.000 0.000 0.000
I: 0.000 0.219 0.250
O: 0.000 0.189 0.750
O: 0.197 0.108 0.250

=====

3.
This entry pairs a crystal structure of LiIO3 with its theoretical X-ray powder pattern. Radiation: Cu Kα X-rays. Structure: a cell relaxed with GGA-PBE.
Kinematic intensities with the Lorentz-polarization factor, no thermal factor.

The 12 most intense peaks (2θ from 5° to 70°), sorted by position:
| 2θ/deg | d/Å | I (rel.) |
| --- | --- | --- |
| 18.49 | 4.798 | 208 |
| 25.07 | 3.552 | 1000 |
| 32.32 | 2.770 | 232 |
| 33.94 | 2.641 | 73 |
| 37.49 | 2.399 | 70 |
| 38.92 | 2.314 | 89 |
| 41.33 | 2.184 | 180 |
| 47.57 | 1.912 | 244 |
| 53.42 | 1.715 | 224 |
| 55.59 | 1.653 | 79 |
| 57.64 | 1.599 | 73 |
| 65.79 | 1.420 | 83 |

Crystal structure
Cell lengths 5.5400, 5.5400, 5.2830 Å; angles 90.00, 90.00, 120.00 degrees
Space group P6_3 (No. 173)
Asymmetric unit:
Li: 0.0000 0.0000 0.0000
I: 0.3333 0.6667 0.4209
O: 0.0897 0.7492 0.2605

=====

4.
This entry pairs a crystal structure of RbLi2I3O9 with its theoretical X-ray powder pattern. Radiation: Cu Kα X-rays. Structure: a cell relaxed with GGA-PBE.
Kinematic intensities with the Lorentz-polarization factor, no thermal factor.

The 12 most intense peaks (2θ from 5° to 70°), sorted by position:
| 2θ/deg | d/Å | I (rel.) |
| --- | --- | --- |
| 18.33 | 4.839 | 578 |
| 22.80 | 3.901 | 520 |
| 23.95 | 3.716 | 291 |
| 24.09 | 3.694 | 333 |
| 24.85 | 3.583 | 754 |
| 26.21 | 3.400 | 680 |
| 26.31 | 3.387 | 1000 |
| 27.56 | 3.236 | 376 |
| 27.69 | 3.222 | 286 |
| 27.97 | 3.190 | 354 |
| 29.56 | 3.022 | 315 |
| 42.96 | 2.105 | 360 |

Crystal structure
Cell lengths 8.420, 11.410, 11.449 Å; angles 90.00, 111.02, 90.00 degrees
Space group P2_1/c (No. 14)
Asymmetric unit:
Rb: 0.212 0.044 0.161
Li: 0.126 0.216 0.860
Li: 0.484 0.711 0.653
I: 0.091 0.682 0.954
I: 0.273 0.553 0.320
I: 0.416 0.132 0.562
O: 0.035 0.738 0.304
O: 0.098 0.224 0.512
O: 0.150 0.044 0.883
O: 0.152 0.537 0.152
O: 0.241 0.712 0.553
O: 0.360 0.205 0.409
O: 0.367 0.580 0.917
O: 0.455 0.042 0.830
O: 0.474 0.243 0.169

=====

5.
This entry pairs a crystal structure of Rb2LiPrI6 with its theoretical X-ray powder pattern. Radiation: Cu Kα X-rays. Structure: a cell relaxed with GGA-PBE.
Kinematic intensities with the Lorentz-polarization factor, no thermal factor.

The 12 most intense peaks (2θ from 5° to 70°), sorted by position:
| 2θ/deg | d/Å | I (rel.) |
| --- | --- | --- |
| 12.56 | 7.050 | 95 |
| 14.51 | 6.106 | 233 |
| 24.17 | 3.682 | 117 |
| 25.26 | 3.525 | 1000 |
| 29.25 | 3.053 | 974 |
| 32.80 | 2.731 | 124 |
| 41.85 | 2.159 | 723 |
| 49.51 | 1.841 | 457 |
| 51.87 | 1.763 | 254 |
| 60.67 | 1.526 | 118 |
| 66.78 | 1.401 | 182 |
| 68.76 | 1.365 | 322 |

Crystal structure
Cell lengths 12.211, 12.211, 12.211 Å; angles 90.00, 90.00, 90.00 degrees
Space group Fm-3m (No. 225)
Asymmetric unit:
Rb: 0.250 0.250 0.250
Li: 0.000 0.000 0.000
Pr: 0.000 0.000 0.500
I: 0.000 0.000 0.244

=====

6.
This entry pairs a crystal structure of Rb2LiSbI6 with its theoretical X-ray powder pattern. Radiation: Cu Kα X-rays. Structure: a cell relaxed with GGA-PBE.
Kinematic intensities with the Lorentz-polarization factor, no thermal factor.

The 12 most intense peaks (2θ from 5° to 70°), sorted by position:
| 2θ/deg | d/Å | I (rel.) |
| --- | --- | --- |
| 12.75 | 6.942 | 92 |
| 14.73 | 6.012 | 183 |
| 24.55 | 3.626 | 73 |
| 25.66 | 3.471 | 1000 |
| 29.72 | 3.006 | 888 |
| 33.32 | 2.689 | 97 |
| 42.53 | 2.126 | 658 |
| 50.34 | 1.813 | 460 |
| 52.74 | 1.736 | 231 |
| 61.71 | 1.503 | 107 |
| 67.96 | 1.379 | 186 |
| 69.98 | 1.344 | 295 |

Crystal structure
Cell lengths 12.025, 12.025, 12.025 Å; angles 90.00, 90.00, 90.00 degrees
Space group Fm-3m (No. 225)
Asymmetric unit:
Rb: 0.250 0.250 0.250
Li: 0.000 0.000 0.000
Sb: 0.000 0.000 0.500
I: 0.000 0.000 0.248

=====

7.
This entry pairs a crystal structure of Rb2LiYI6 with its theoretical X-ray powder pattern. Radiation: Cu Kα X-rays. Structure: a cell relaxed with GGA-PBE.
Kinematic intensities with the Lorentz-polarization factor, no thermal factor.

The 12 most intense peaks (2θ from 5° to 70°), sorted by position:
| 2θ/deg | d/Å | I (rel.) |
| --- | --- | --- |
| 12.76 | 6.940 | 47 |
| 14.74 | 6.010 | 126 |
| 24.56 | 3.624 | 38 |
| 25.67 | 3.470 | 1000 |
| 29.73 | 3.005 | 780 |
| 33.34 | 2.688 | 66 |
| 42.55 | 2.125 | 576 |
| 45.27 | 2.003 | 35 |
| 50.36 | 1.812 | 462 |
| 52.76 | 1.735 | 202 |
| 61.74 | 1.502 | 94 |
| 67.99 | 1.379 | 187 |

Crystal structure
Cell lengths 12.020, 12.020, 12.020 Å; angles 90.00, 90.00, 90.00 degrees
Space group Fm-3m (No. 225)
Asymmetric unit:
Rb: 0.250 0.250 0.250
Li: 0.000 0.000 0.000
Y: 0.000 0.000 0.500
I: 0.000 0.000 0.249

=====

8.
This entry pairs a crystal structure of Li5SbS3I2 with its theoretical X-ray powder pattern. Radiation: Cu Kα X-rays. Structure: a cell relaxed with GGA-PBE.
Kinematic intensities with the Lorentz-polarization factor, no thermal factor.

The 12 most intense peaks (2θ from 5° to 70°), sorted by position:
| 2θ/deg | d/Å | I (rel.) |
| --- | --- | --- |
| 21.42 | 4.149 | 716 |
| 21.60 | 4.114 | 1000 |
| 22.85 | 3.891 | 718 |
| 23.36 | 3.808 | 709 |
| 25.74 | 3.461 | 401 |
| 28.16 | 3.169 | 290 |
| 28.87 | 3.092 | 798 |
| 30.05 | 2.974 | 962 |
| 31.90 | 2.805 | 376 |
| 45.42 | 1.997 | 464 |
| 46.63 | 1.948 | 338 |
| 47.74 | 1.905 | 349 |

Crystal structure
Cell lengths 10.481, 13.581, 7.616 Å; angles 90.00, 90.00, 90.00 degrees
Space group Pnnm (No. 58)
Asymmetric unit:
Li: 0.061 0.098 0.231
Li: 0.187 0.462 0.000
Li: 0.195 0.752 0.257
Sb: 0.199 0.493 0.500
S: 0.172 0.933 0.249
S: 0.201 0.160 0.000
I: 0.058 0.642 0.000
I: 0.070 0.238 0.500

=====

9.
This entry pairs a crystal structure of LiUI6 with its theoretical X-ray powder pattern. Radiation: Cu Kα X-rays. Structure: a cell relaxed with GGA-PBE.
Kinematic intensities with the Lorentz-polarization factor, no thermal factor.

The 12 most intense peaks (2θ from 5° to 70°), sorted by position:
| 2θ/deg | d/Å | I (rel.) |
| --- | --- | --- |
| 12.79 | 6.922 | 215 |
| 13.60 | 6.509 | 217 |
| 13.78 | 6.425 | 531 |
| 15.62 | 5.675 | 275 |
| 24.09 | 3.694 | 213 |
| 24.91 | 3.575 | 409 |
| 25.74 | 3.461 | 195 |
| 28.31 | 3.153 | 502 |
| 29.12 | 3.066 | 1000 |
| 39.99 | 2.254 | 371 |
| 41.65 | 2.168 | 369 |
| 42.10 | 2.146 | 411 |

Crystal structure
Cell lengths 7.915, 13.017, 7.416 Å; angles 90.00, 111.05, 90.00 degrees
Space group C2 (No. 5)
Asymmetric unit:
Li: 0.000 0.000 0.000
U: 0.000 0.155 0.500
I: 0.224 0.994 0.755
I: 0.230 0.150 0.265
I: 0.234 0.313 0.742

=====

10.
This entry pairs a crystal structure of Li2ZnI4 with its theoretical X-ray powder pattern. Radiation: Cu Kα X-rays. Structure: a cell relaxed with GGA-PBE.
Kinematic intensities with the Lorentz-polarization factor, no thermal factor.

The 12 most intense peaks (2θ from 5° to 70°), sorted by position:
| 2θ/deg | d/Å | I (rel.) |
| --- | --- | --- |
| 15.61 | 5.678 | 59 |
| 23.69 | 3.756 | 332 |
| 25.21 | 3.532 | 266 |
| 26.88 | 3.316 | 1000 |
| 34.87 | 2.573 | 191 |
| 41.65 | 2.169 | 319 |
| 45.46 | 1.995 | 348 |
| 49.31 | 1.848 | 241 |
| 50.27 | 1.815 | 168 |
| 63.32 | 1.469 | 83 |
| 67.30 | 1.391 | 89 |
| 68.54 | 1.369 | 53 |

Crystal structure
Cell lengths 15.009, 8.684, 7.064 Å; angles 90.00, 90.00, 90.00 degrees
Space group Pnma (No. 62)
Asymmetric unit:
Li: 0.000 0.000 0.000
Li: 0.234 0.250 0.499
Zn: 0.087 0.750 0.596
I: 0.075 0.250 0.248
I: 0.090 0.750 0.226
I: 0.167 0.509 0.754

=====

11.
This entry pairs a crystal structure of LuI3 with its theoretical X-ray powder pattern. Radiation: Cu Kα X-rays. Structure: a cell relaxed with GGA-PBE.
Kinematic intensities with the Lorentz-polarization factor, no thermal factor.

The 12 most intense peaks (2θ from 5° to 70°), sorted by position:
| 2θ/deg | d/Å | I (rel.) |
| --- | --- | --- |
| 9.14 | 9.680 | 1000 |
| 15.86 | 5.589 | 297 |
| 18.33 | 4.840 | 561 |
| 24.33 | 3.659 | 188 |
| 29.30 | 3.048 | 807 |
| 33.38 | 2.685 | 213 |
| 33.49 | 2.676 | 302 |
| 36.04 | 2.492 | 384 |
| 40.70 | 2.217 | 496 |
| 48.90 | 1.863 | 236 |
| 58.03 | 1.589 | 228 |
| 69.60 | 1.351 | 153 |

Crystal structure
Cell lengths 11.1771, 11.1771, 3.9233 Å; angles 90.00, 90.00, 120.00 degrees
Space group P6_3/mmc (No. 194)
Asymmetric unit:
Lu: 0.3333 0.6667 0.2500
I: 0.2154 0.4307 0.7500